(1)
Starting from a structure optimized by DFT (GGA-PBE), the powder diffraction line list of CsK2Cd2Bi2 was calculated for a wavelength of 1.5418 Å.

Largest 10 diffraction maxima, in order of falling intensity, 15° ≤ 2θ ≤ 90°:
33.12 deg, I 100; 15.18 deg, I 67; 45.74 deg, I 66; 27.90 deg, I 61; 36.62 deg, I 49; 21.51 deg, I 42; 26.06 deg, I 40; 22.84 deg, I 32; 30.64 deg, I 28; 56.04 deg, I 25

Crystal structure
Unit cell a=12.0833 b=12.0833 c=12.0833 alpha=25.87 beta=25.87 gamma=25.87
Fractional positions:
Cs 0.0000 0.0000 0.0000
K 0.1345 0.1345 0.1345
K 0.8655 0.8655 0.8655
Cd 0.4136 0.4136 0.4136
Cd 0.5864 0.5864 0.5864
Bi 0.2503 0.2503 0.2503
Bi 0.7497 0.7497 0.7497

(2)
Starting from a structure optimized by DFT (GGA-PBE), the powder diffraction line list of Er3Zn3Hg was calculated for a wavelength of 1.5418 Å.

Largest 10 diffraction maxima, in order of falling intensity, 15° ≤ 2θ ≤ 90°:
33.18 deg, I 100; 38.05 deg, I 53; 33.89 deg, I 50; 40.17 deg, I 30; 53.54 deg, I 28; 65.08 deg, I 22; 66.54 deg, I 21; 24.10 deg, I 19; 50.67 deg, I 15; 36.93 deg, I 13

Crystal structure
Unit cell a=3.6033 b=4.4898 c=19.4748 alpha=90.00 beta=90.00 gamma=90.00
Fractional positions:
Er 0.0000 0.0000 0.0000
Er 0.0000 0.0000 0.3924
Er 0.0000 0.5000 0.1882
Er 0.5000 0.0000 0.6882
Er 0.5000 0.5000 0.5000
Er 0.5000 0.5000 0.8924
Zn 0.0000 0.0000 0.5525
Zn 0.0000 0.0000 0.8422
Zn 0.0000 0.5000 0.6226
Zn 0.5000 0.0000 0.1226
Zn 0.5000 0.5000 0.0525
Zn 0.5000 0.5000 0.3422
Hg 0.0000 0.5000 0.7599
Hg 0.5000 0.0000 0.2599

(3)
Starting from a structure optimized by DFT (GGA-PBE), the powder diffraction line list of Tb4Tm3Sc was calculated for a wavelength of 1.5418 Å.

Largest 10 diffraction maxima, in order of falling intensity, 15° ≤ 2θ ≤ 90°:
31.28 deg, I 100; 32.30 deg, I 49; 61.11 deg, I 23; 63.29 deg, I 12; 48.02 deg, I 11; 61.29 deg, I 11; 71.90 deg, I 9; 43.82 deg, I 9; 41.21 deg, I 7; 46.33 deg, I 7

Crystal structure
Unit cell a=8.8168 b=8.8168 c=8.8168 alpha=120.40 beta=120.40 gamma=89.31
Fractional positions:
Tb 0.0124 0.5124 0.1996
Tb 0.1872 0.9876 0.5000
Tb 0.3128 0.8128 0.8004
Tb 0.4876 0.6872 0.5000
Tb 0.5124 0.3128 0.5000
Tb 0.6872 0.1872 0.1996
Tb 0.8128 0.0124 0.5000
Tb 0.9876 0.4876 0.8004
Tm 0.1486 0.3514 0.5000
Tm 0.2500 0.2500 0.0000
Tm 0.3514 0.8514 0.2029
Tm 0.6486 0.1486 0.7971
Tm 0.7500 0.7500 0.0000
Tm 0.8514 0.6486 0.5000
Sc 0.0000 0.0000 0.0000
Sc 0.5000 0.5000 0.0000

(4)
Starting from a structure optimized by DFT (GGA-PBE), the powder diffraction line list of Ac2Pm3Ni2 was calculated for a wavelength of 1.5418 Å.

Largest 10 diffraction maxima, in order of falling intensity, 15° ≤ 2θ ≤ 90°:
28.78 deg, I 100; 29.98 deg, I 68; 30.28 deg, I 60; 33.81 deg, I 56; 27.60 deg, I 51; 31.71 deg, I 45; 32.98 deg, I 42; 33.95 deg, I 33; 56.09 deg, I 32; 47.05 deg, I 28

Crystal structure
Unit cell a=12.4151 b=3.8630 c=9.3901 alpha=90.00 beta=112.67 gamma=90.00
Fractional positions:
Ac 0.1674 0.0000 0.2983
Ac 0.3326 0.5000 0.7017
Ac 0.6674 0.5000 0.2983
Ac 0.8326 0.0000 0.7017
Pm 0.0000 0.5000 0.5000
Pm 0.1176 0.5000 0.9199
Pm 0.3824 0.0000 0.0801
Pm 0.5000 0.0000 0.5000
Pm 0.6176 0.0000 0.9199
Pm 0.8824 0.5000 0.0801
Ni 0.1539 0.0000 0.7247
Ni 0.3461 0.5000 0.2753
Ni 0.6539 0.5000 0.7247
Ni 0.8461 0.0000 0.2753

(5)
Starting from a structure optimized by DFT (GGA-PBE), the powder diffraction line list of AsAu2I was calculated for a wavelength of 1.5418 Å.

Largest 10 diffraction maxima, in order of falling intensity, 15° ≤ 2θ ≤ 90°:
25.13 deg, I 100; 42.98 deg, I 41; 46.76 deg, I 25; 38.76 deg, I 23; 31.52 deg, I 18; 53.92 deg, I 13; 68.39 deg, I 11; 73.08 deg, I 8; 56.42 deg, I 8; 81.53 deg, I 7

Crystal structure
Unit cell a=6.5703 b=6.5703 c=10.9639 alpha=90.00 beta=90.00 gamma=90.00
Fractional positions:
As 0.0000 0.0000 0.0000
As 0.0000 0.5000 0.2500
As 0.5000 0.0000 0.7500
As 0.5000 0.5000 0.5000
Au 0.1921 0.2500 0.1250
Au 0.2500 0.6921 0.3750
Au 0.2500 0.8079 0.8750
Au 0.3079 0.2500 0.6250
Au 0.6921 0.7500 0.6250
Au 0.7500 0.1921 0.8750
Au 0.7500 0.3079 0.3750
Au 0.8079 0.7500 0.1250
I 0.0000 0.0000 0.5000
I 0.0000 0.5000 0.7500
I 0.5000 0.0000 0.2500
I 0.5000 0.5000 0.0000

(6)
Starting from a structure optimized by DFT (GGA-PBE), the powder diffraction line list of Er2InGa3 was calculated for a wavelength of 1.5418 Å.

Largest 10 diffraction maxima, in order of falling intensity, 15° ≤ 2θ ≤ 90°:
33.94 deg, I 100; 39.67 deg, I 39; 39.91 deg, I 19; 53.32 deg, I 18; 66.64 deg, I 16; 22.68 deg, I 10; 53.07 deg, I 9; 51.18 deg, I 9; 68.25 deg, I 9; 68.41 deg, I 9

Crystal structure
Unit cell a=9.0880 b=8.6556 c=5.7582 alpha=75.19 beta=67.04 gamma=37.77
Fractional positions:
Er 0.2479 0.7521 0.7521
Er 0.2500 0.2500 0.2500
Er 0.7500 0.7500 0.7500
Er 0.7521 0.2479 0.2479
In 0.3337 0.3337 0.6663
In 0.6663 0.6663 0.3337
Ga 0.1626 0.1626 0.8374
Ga 0.1628 0.6754 0.3246
Ga 0.3246 0.8372 0.1628
Ga 0.6754 0.1628 0.8372
Ga 0.8372 0.3246 0.6754
Ga 0.8374 0.8374 0.1626

(7)
Starting from a structure optimized by DFT (GGA-PBE), the powder diffraction line list of NdTmPbSe was calculated for a wavelength of 1.5418 Å.

Largest 10 diffraction maxima, in order of falling intensity, 15° ≤ 2θ ≤ 90°:
28.89 deg, I 100; 41.75 deg, I 75; 29.48 deg, I 47; 51.56 deg, I 41; 41.31 deg, I 38; 75.62 deg, I 26; 67.80 deg, I 18; 68.11 deg, I 18; 69.04 deg, I 17; 20.32 deg, I 14

Crystal structure
Unit cell a=4.3707 b=4.3707 c=6.0601 alpha=90.00 beta=90.00 gamma=90.00
Fractional positions:
Nd 0.0000 0.0000 0.0000
Tm 0.5000 0.5000 0.5000
Pb 0.5000 0.5000 0.0000
Se 0.0000 0.0000 0.5000

(8)
Starting from a structure optimized by DFT (GGA-PBE), the powder diffraction line list of HoHf3Al8 was calculated for a wavelength of 1.5418 Å.

Largest 10 diffraction maxima, in order of falling intensity, 15° ≤ 2θ ≤ 90°:
33.54 deg, I 100; 39.55 deg, I 95; 20.35 deg, I 68; 59.95 deg, I 28; 64.04 deg, I 23; 52.80 deg, I 17; 80.35 deg, I 16; 70.54 deg, I 10; 70.43 deg, I 10; 60.01 deg, I 10

Crystal structure
Unit cell a=9.2667 b=9.2667 c=9.2667 alpha=33.49 beta=33.49 gamma=33.49
Fractional positions:
Ho 0.0000 0.0000 0.0000
Hf 0.1264 0.1264 0.1264
Hf 0.5007 0.5007 0.5007
Hf 0.6225 0.6225 0.6225
Al 0.0619 0.0619 0.5596
Al 0.0619 0.5596 0.0619
Al 0.0650 0.5638 0.5638
Al 0.3121 0.3121 0.3121
Al 0.5596 0.0619 0.0619
Al 0.5638 0.0650 0.5638
Al 0.5638 0.5638 0.0650
Al 0.8128 0.8128 0.8128

(9)
Starting from a structure optimized by DFT (GGA-PBE), the powder diffraction line list of PmP3Os3 was calculated for a wavelength of 1.5418 Å.

Largest 10 diffraction maxima, in order of falling intensity, 15° ≤ 2θ ≤ 90°:
34.07 deg, I 100; 31.02 deg, I 92; 53.16 deg, I 56; 27.68 deg, I 43; 57.16 deg, I 27; 51.09 deg, I 24; 48.95 deg, I 23; 66.47 deg, I 22; 80.18 deg, I 20; 85.14 deg, I 18

Crystal structure
Unit cell a=6.4463 b=6.4463 c=6.4463 alpha=90.00 beta=90.00 gamma=90.00
Fractional positions:
Pm 0.0000 0.0000 0.0000
Pm 0.5000 0.5000 0.5000
P 0.0000 0.2500 0.5000
P 0.0000 0.7500 0.5000
P 0.2500 0.5000 0.0000
P 0.5000 0.0000 0.2500
P 0.5000 0.0000 0.7500
P 0.7500 0.5000 0.0000
Os 0.0000 0.5000 0.2500
Os 0.0000 0.5000 0.7500
Os 0.2500 0.0000 0.5000
Os 0.5000 0.2500 0.0000
Os 0.5000 0.7500 0.0000
Os 0.7500 0.0000 0.5000

(10)
Starting from a structure optimized by DFT (GGA-PBE), the powder diffraction line list of BeTl5I8 was calculated for a wavelength of 1.5418 Å.

Largest 10 diffraction maxima, in order of falling intensity, 15° ≤ 2θ ≤ 90°:
37.36 deg, I 100; 26.18 deg, I 86; 21.65 deg, I 76; 34.22 deg, I 32; 51.56 deg, I 26; 67.39 deg, I 25; 32.21 deg, I 24; 28.58 deg, I 23; 60.85 deg, I 20; 46.19 deg, I 20

Crystal structure
Unit cell a=9.6248 b=9.6248 c=9.6248 alpha=119.94 beta=119.94 gamma=90.10
Fractional positions:
Be 0.0000 0.0000 0.0000
Tl 0.3646 0.6337 0.7321
Tl 0.3663 0.0984 0.7309
Tl 0.3674 0.6354 0.2691
Tl 0.7500 0.2500 0.5000
Tl 0.9016 0.6326 0.2679
I 0.1032 0.8958 0.2066
I 0.1034 0.8968 0.7926
I 0.1042 0.3108 0.2074
I 0.1446 0.3815 0.7638
I 0.6177 0.3807 0.2362
I 0.6185 0.3823 0.7631
I 0.6193 0.8554 0.2369
I 0.6892 0.8966 0.7934

(11)
Starting from a structure optimized by DFT (GGA-PBE), the powder diffraction line list of Zr2UTl was calculated for a wavelength of 1.5418 Å.

Largest 10 diffraction maxima, in order of falling intensity, 15° ≤ 2θ ≤ 90°:
33.72 deg, I 100; 39.47 deg, I 65; 34.85 deg, I 31; 67.93 deg, I 27; 17.22 deg, I 24; 56.28 deg, I 23; 57.80 deg, I 22; 32.14 deg, I 17; 67.24 deg, I 14; 69.30 deg, I 13

Crystal structure
Unit cell a=3.2693 b=3.2693 c=30.8928 alpha=90.00 beta=90.00 gamma=120.00
Fractional positions:
Zr 0.0000 0.0000 0.2501
Zr 0.0000 0.0000 0.7499
Zr 0.3333 0.6667 0.4165
Zr 0.3333 0.6667 0.9168
Zr 0.6667 0.3333 0.0832
Zr 0.6667 0.3333 0.5835
U 0.0000 0.0000 0.0000
U 0.3333 0.6667 0.6667
U 0.6667 0.3333 0.3333
Tl 0.0000 0.0000 0.5000
Tl 0.3333 0.6667 0.1667
Tl 0.6667 0.3333 0.8333